This entry pairs a crystal structure of Dy3Rh with its computed X-ray diffraction stick pattern. Radiation: Cu Kα, 1.54184 Å. Structure: the GGA-PBE geometry in the Materials Project.

Peak list (6 most intense, 15° ≤ 2θ ≤ 90°, by angle)
- 2θ 30.31, I = 47
- 2θ 31.27, I = 100
- 2θ 31.58, I = 81
- 2θ 32.64, I = 85
- 2θ 34.05, I = 54
- 2θ 34.51, I = 64

Crystal structure
```
16
Lattice="7.141 0.000 0.000 0.000 9.533 0.000 0.000 0.000 6.255" Properties=species:S:1:pos:R:3 pbc="T T T"
Dy 0.223 2.383 0.835
Dy 1.270 0.599 4.188
Dy 1.270 4.167 4.188
Dy 2.301 5.366 1.060
Dy 2.301 8.934 1.060
Dy 3.347 7.150 3.963
Dy 3.793 2.383 2.292
Dy 4.840 0.599 5.195
Dy 4.840 4.167 5.195
Dy 5.871 5.366 2.067
Dy 5.871 8.934 2.067
Dy 6.918 7.150 5.420
Rh 0.840 7.150 2.746
Rh 2.731 2.383 5.874
Rh 4.410 7.150 0.382
Rh 6.301 2.383 3.509
```



This entry pairs a crystal structure of Dy2RuRh with its computed X-ray diffraction stick pattern. Radiation: Cu Kα, 1.54184 Å. Structure: the GGA-PBE geometry in the Materials Project.

Peak list (6 most intense, 15° ≤ 2θ ≤ 90°, by angle)
- 2θ 26.16, I = 5
- 2θ 37.34, I = 100
- 2θ 53.83, I = 17
- 2θ 60.81, I = 2
- 2θ 67.34, I = 35
- 2θ 79.61, I = 11

Crystal structure
```
4
Lattice="0.000 3.406 3.406 3.406 0.000 3.406 3.406 3.406 0.000" Properties=species:S:1:pos:R:3 pbc="T T T"
Dy 1.703 1.703 1.703
Dy 5.109 5.109 5.109
Ru 0.000 0.000 0.000
Rh 3.406 3.406 3.406
```



This entry pairs a crystal structure of DySiRh with its computed X-ray diffraction stick pattern. Radiation: Cu Kα, 1.54184 Å. Structure: the GGA-PBE geometry in the Materials Project.

Peak list (6 most intense, 15° ≤ 2θ ≤ 90°, by angle)
- 2θ 24.12, I = 25
- 2θ 34.66, I = 68
- 2θ 35.53, I = 100
- 2θ 42.43, I = 58
- 2θ 58.86, I = 38
- 2θ 68.71, I = 28

Crystal structure
```
12
Lattice="6.934 0.000 0.000 0.000 4.260 0.000 0.000 0.000 7.382" Properties=species:S:1:pos:R:3 pbc="T T T"
Dy 0.010 1.065 1.397
Dy 3.456 3.195 5.088
Dy 3.477 1.065 2.294
Dy 6.923 3.195 5.985
Si 1.414 1.065 4.460
Si 2.053 3.195 0.770
Si 4.880 1.065 6.612
Si 5.520 3.195 2.921
Rh 1.068 3.195 3.177
Rh 2.399 1.065 6.868
Rh 4.534 3.195 0.514
Rh 5.866 1.065 4.205
```



This entry pairs a crystal structure of Dy2Si5Rh3 with its computed X-ray diffraction stick pattern. Radiation: Cu Kα, 1.54184 Å. Structure: the GGA-PBE geometry in the Materials Project.

Peak list (6 most intense, 15° ≤ 2θ ≤ 90°, by angle)
- 2θ 23.55, I = 25
- 2θ 34.95, I = 100
- 2θ 35.85, I = 44
- 2θ 36.08, I = 44
- 2θ 44.29, I = 58
- 2θ 57.78, I = 23

Crystal structure
```
20
Lattice="-4.946 5.810 2.880 4.946 -5.810 2.880 4.946 5.810 -2.880" Properties=species:S:1:pos:R:3 pbc="T T T"
Dy 2.291 1.535 0.000
Dy 2.291 -1.535 2.880
Dy 2.655 7.345 0.000
Dy 2.655 4.274 2.880
Si 4.946 -2.572 1.440
Si 6.507 1.231 0.000
Si 0.000 0.000 1.440
Si 1.560 4.579 0.000
Si 4.946 2.572 1.440
Si 0.000 3.237 1.440
Si 3.386 1.231 2.880
Si 0.000 0.000 4.321
Si -1.560 4.579 2.880
Si 0.000 8.382 1.440
Rh 3.867 -4.183 2.880
Rh 4.946 0.000 1.440
Rh 3.867 4.183 0.000
Rh 1.079 1.627 2.880
Rh 0.000 5.810 1.440
Rh 1.079 9.992 0.000
```